[1]
For SrErHg4, a cell relaxed with PBE gives the theoretical powder diffractogram in this record (Cu Kα X-rays).

Structure:
Lattice parameters (Å, degrees): 5.685 5.685 8.235 109.46 109.46 40.41
Element x y z (fractional)
Sr 0.000 0.000 0.000
Er 0.000 0.000 0.500
Hg 0.331 0.331 0.649
Hg 0.334 0.334 0.192
Hg 0.666 0.666 0.808
Hg 0.669 0.669 0.351

The 10 most intense peaks (5 to 70 degrees two-theta), by angle:
d_spacing  two_theta  I_rel
2.841  31.49  100
2.629  34.10  42
2.546  35.26  38
2.537  35.37  78
2.058  44.00  17
1.963  46.24  18
1.618  56.90  16
1.573  58.69  17
1.555  59.46  17
1.421  65.73  23

=====

[2]
For Li2La2Sb2N, a cell relaxed with PBE gives the theoretical powder diffractogram in this record (Cu Kα X-rays).

Structure:
Lattice parameters (Å, degrees): 8.424 8.424 8.424 147.63 147.63 46.43
Element x y z (fractional)
Li 0.000 0.500 0.500
Li 0.500 0.000 0.500
La 0.145 0.145 0.000
La 0.855 0.855 0.000
Sb 0.371 0.371 0.000
Sb 0.629 0.629 0.000
N 0.000 0.000 0.000

The 10 most intense peaks (5 to 70 degrees two-theta), by angle:
d_spacing  two_theta  I_rel
3.871  22.97  57
3.321  26.85  100
2.520  35.62  80
2.348  38.33  42
2.008  45.16  38
1.672  54.90  15
1.660  55.33  14
1.526  60.69  16
1.485  62.55  18
1.387  67.56  25